No. 1
The following is a theoretical X-ray diffraction stick pattern of LaDyGeAu. It was derived from a DFT-relaxed cell (GGA-PBE, Alexandria), using Cu Kα (weighted mean of Kα1 and Kα2).
Intensities are scaled so that the largest is 100.

Unit cell a=5.2217 b=5.2217 c=5.2217 alpha=60.00 beta=60.00 gamma=60.00
Fractional positions:
La1 0.0000 0.0000 0.0000
Dy1 0.5000 0.5000 0.5000
Ge1 0.2500 0.2500 0.2500
Au1 0.7500 0.7500 0.7500

Main lines, by angle (2θ from 5° to 70°):
two_theta	d_spacing	I/Imax
20.8	4.263	11
34.3	2.611	100
40.5	2.227	6
49.4	1.846	18
54.1	1.694	3
61.5	1.507	37
65.7	1.421	2

No. 2
The following is a theoretical X-ray diffraction stick pattern of Dy2Hg3Au. It was derived from a DFT-relaxed cell (GGA-PBE, Alexandria), using Cu Kα (weighted mean of Kα1 and Kα2).
Intensities are scaled so that the largest is 100.

Unit cell a=3.4161 b=4.8945 c=8.4724 alpha=90.00 beta=90.00 gamma=90.00
Fractional positions:
Dy1 0.0000 0.0000 0.0000
Dy2 0.0000 0.5000 0.4693
Hg1 0.5000 0.0000 0.6468
Hg2 0.5000 0.5000 0.1504
Hg3 0.5000 0.5000 0.8149
Au1 0.5000 0.0000 0.3158

Main lines, by angle (2θ from 5° to 70°):
two_theta	d_spacing	I/Imax
21.0	4.237	2
26.1	3.416	14
33.7	2.660	100
36.7	2.447	95
45.6	1.989	21
50.7	1.801	31
53.7	1.708	11
64.2	1.450	30
66.2	1.413	17
66.8	1.401	34

No. 3
The following is a theoretical X-ray diffraction stick pattern of Dy4Hg3Au. It was derived from a DFT-relaxed cell (GGA-PBE, Alexandria), using Cu Kα (weighted mean of Kα1 and Kα2).
Intensities are scaled so that the largest is 100.

Unit cell a=3.6847 b=3.6847 c=14.8100 alpha=90.00 beta=90.00 gamma=90.00
Fractional positions:
Dy1 0.0000 0.0000 0.1168
Dy2 0.0000 0.0000 0.3719
Dy3 0.0000 0.0000 0.6281
Dy4 0.0000 0.0000 0.8832
Hg1 0.5000 0.5000 0.2481
Hg2 0.5000 0.5000 0.5000
Hg3 0.5000 0.5000 0.7519
Au1 0.5000 0.5000 0.0000

Main lines, by angle (2θ from 5° to 70°):
two_theta	d_spacing	I/Imax
24.0	3.702	1
24.2	3.685	1
34.4	2.610	100
42.4	2.131	1
49.2	1.851	6
49.5	1.842	12
61.4	1.509	12
61.6	1.505	25

No. 4
The following is a theoretical X-ray diffraction stick pattern of Dy5Hg2Au2. It was derived from a DFT-relaxed cell (GGA-PBE, Alexandria), using Cu Kα (weighted mean of Kα1 and Kα2).
Intensities are scaled so that the largest is 100.

Unit cell a=9.1668 b=9.1668 c=7.4702 alpha=90.00 beta=90.00 gamma=49.03
Fractional positions:
Dy1 0.0000 0.0000 0.0000
Dy2 0.0425 0.6894 0.6680
Dy3 0.1894 0.5425 0.1680
Dy4 0.3106 0.9575 0.6680
Dy5 0.4575 0.8106 0.1680
Dy6 0.5000 0.5000 0.5000
Dy7 0.5425 0.1894 0.8320
Dy8 0.6894 0.0425 0.3320
Dy9 0.8106 0.4575 0.8320
Dy10 0.9575 0.3106 0.3320
Hg1 0.2161 0.2161 0.0000
Hg2 0.2839 0.2839 0.5000
Hg3 0.7161 0.7161 0.5000
Hg4 0.7839 0.7839 0.0000
Au1 0.1347 0.8653 0.3675
Au2 0.3653 0.6347 0.8675
Au3 0.6347 0.3653 0.1325
Au4 0.8653 0.1347 0.6325

Main lines, by angle (2θ from 5° to 70°):
two_theta	d_spacing	I/Imax
31.2	2.871	100
31.6	2.828	32
31.8	2.810	55
32.2	2.782	68
33.6	2.665	49
34.1	2.630	85
37.9	2.377	55
38.1	2.365	34
38.4	2.343	49
43.4	2.084	34

No. 5
The following is a theoretical X-ray diffraction stick pattern of Dy3HgAu. It was derived from a DFT-relaxed cell (GGA-PBE, Alexandria), using Cu Kα (weighted mean of Kα1 and Kα2).
Intensities are scaled so that the largest is 100.

Unit cell a=10.1106 b=10.1106 c=5.1667 alpha=90.00 beta=90.00 gamma=150.37
Fractional positions:
Dy1 0.0631 0.9369 0.7500
Dy2 0.2493 0.7507 0.7500
Dy3 0.4348 0.5652 0.7500
Dy4 0.5652 0.4348 0.2500
Dy5 0.7507 0.2493 0.2500
Dy6 0.9369 0.0631 0.2500
Hg1 0.1538 0.8462 0.2500
Hg2 0.8462 0.1538 0.7500
Au1 0.3396 0.6604 0.2500
Au2 0.6604 0.3396 0.7500

Main lines, by angle (2θ from 5° to 70°):
two_theta	d_spacing	I/Imax
9.0	9.774	6
33.6	2.670	100
34.7	2.584	51
40.7	2.219	7
46.5	1.955	7
49.9	1.828	18
59.3	1.559	14
61.5	1.508	36
66.3	1.411	3
68.0	1.378	5

No. 6
The following is a theoretical X-ray diffraction stick pattern of Dy7Hg2Au2. It was derived from a DFT-relaxed cell (GGA-PBE, Alexandria), using Cu Kα (weighted mean of Kα1 and Kα2).
Intensities are scaled so that the largest is 100.

Unit cell a=6.8204 b=6.8204 c=7.3308 alpha=90.00 beta=90.00 gamma=108.36
Fractional positions:
Dy1 0.0000 0.0000 0.0000
Dy2 0.0000 0.5000 0.2685
Dy3 0.0000 0.5000 0.7315
Dy4 0.5000 0.0000 0.2685
Dy5 0.5000 0.0000 0.7315
Dy6 0.5000 0.5000 0.2563
Dy7 0.5000 0.5000 0.7437
Hg1 0.1804 0.1804 0.5000
Hg2 0.8196 0.8196 0.5000
Au1 0.2938 0.7062 0.0000
Au2 0.7062 0.2938 0.0000

Main lines, by angle (2θ from 5° to 70°):
two_theta	d_spacing	I/Imax
20.1	4.415	32
25.4	3.506	53
28.0	3.190	32
32.4	2.765	55
36.3	2.472	49
37.1	2.426	100
43.7	2.070	24
49.8	1.833	20
56.9	1.618	22
60.6	1.528	17

No. 7
The following is a theoretical X-ray diffraction stick pattern of DyHoAu5. It was derived from a DFT-relaxed cell (GGA-PBE, Alexandria), using Cu Kα (weighted mean of Kα1 and Kα2).
Intensities are scaled so that the largest is 100.

Unit cell a=5.2885 b=5.2885 c=11.2365 alpha=100.93 beta=100.93 gamma=100.43
Fractional positions:
Dy1 0.0000 0.5000 0.0000
Dy2 0.5000 0.0000 0.5000
Ho1 0.1832 0.8168 0.7500
Ho2 0.8168 0.1832 0.2500
Au1 0.0629 0.2799 0.5421
Au2 0.1825 0.8175 0.2500
Au3 0.2799 0.0629 0.0421
Au4 0.3962 0.4022 0.3533
Au5 0.4022 0.3962 0.8533
Au6 0.5978 0.6038 0.1467
Au7 0.6038 0.5978 0.6467
Au8 0.7201 0.9371 0.9579
Au9 0.8175 0.1825 0.7500
Au10 0.9371 0.7201 0.4579

Main lines, by angle (2θ from 5° to 70°):
two_theta	d_spacing	I/Imax
34.0	2.637	100
35.6	2.525	65
35.9	2.498	88
36.5	2.464	93
37.9	2.374	28
40.3	2.239	43
41.6	2.172	41
41.8	2.162	61
58.6	1.575	22
59.9	1.543	22

No. 8
The following is a theoretical X-ray diffraction stick pattern of DyHoInAu. It was derived from a DFT-relaxed cell (GGA-PBE, Alexandria), using Cu Kα (weighted mean of Kα1 and Kα2).
Intensities are scaled so that the largest is 100.

Unit cell a=3.6011 b=3.6011 c=7.6710 alpha=90.00 beta=90.00 gamma=90.00
Fractional positions:
Dy1 0.0000 0.0000 0.0000
Ho1 0.0000 0.0000 0.5380
In1 0.5000 0.5000 0.2697
Au1 0.5000 0.5000 0.7644

Main lines, by angle (2θ from 5° to 70°):
two_theta	d_spacing	I/Imax
11.5	7.671	11
34.2	2.625	100
35.2	2.546	47
37.2	2.417	3
43.4	2.085	5
47.4	1.918	9
50.7	1.801	17
60.4	1.532	18
62.6	1.485	35
68.9	1.363	3